Structure and simulated XRD peak list of Mn2Fe3Co3O16 (DFT lattice parameters and positions (GGA+U); a wavelength of 1.5418 Å).
Peak positions follow from Bragg's law for the DFT cell and can differ from measured ones.

Peak list (10 most intense, 15° ≤ 2θ ≤ 90°, by angle)
20.29 deg, d 4.377, I 100
20.71 deg, d 4.288, I 52
20.83 deg, d 4.265, I 70
37.88 deg, d 2.375, I 37
38.03 deg, d 2.366, I 50
38.18 deg, d 2.357, I 39
42.39 deg, d 2.132, I 29
48.35 deg, d 1.883, I 29
48.69 deg, d 1.870, I 41
65.86 deg, d 1.418, I 45

a b c (Å): 5.673 5.673 8.754
angles (deg): 90.64 90.64 59.76
Fractional coordinates of all 24 atoms:
Mn 0.000 0.000 0.000
Mn 0.664 0.664 0.502
Fe 0.163 0.666 0.276
Fe 0.499 0.499 0.777
Fe 0.666 0.163 0.276
Co 0.163 0.163 0.278
Co 0.500 0.997 0.780
Co 0.997 0.500 0.780
O 0.000 0.000 0.387
O 0.163 0.663 0.887
O 0.166 0.166 0.883
O 0.290 0.854 0.148
O 0.328 0.328 0.169
O 0.329 0.329 0.669
O 0.370 0.817 0.650
O 0.493 0.998 0.383
O 0.495 0.495 0.389
O 0.663 0.163 0.887
O 0.667 0.667 0.889
O 0.811 0.811 0.654
O 0.817 0.370 0.650
O 0.852 0.852 0.144
O 0.854 0.290 0.148
O 0.998 0.493 0.383